Structure and computed X-ray diffraction stick pattern of PmRe4Se7 (a cell relaxed with PBE; Cu Kα (weighted mean of Kα1 and Kα2)).

Main lines, sorted by position (10° ≤ 2θ ≤ 90°):
d_spacing, Rel. int.
7.231, 100.0
6.414, 15.9
2.792, 12.4
2.600, 11.0
2.521, 10.1
2.372, 11.2
2.292, 16.8
2.182, 10.4

Cell and atoms:
a = 5.9987 Å, b = 13.8934 Å, c = 7.2355 Å
α = 90.00°, β = 91.98°, γ = 90.00°
Fractional positions:
Pm  0.0000  0.0000  0.0000
Pm  0.3893  0.5000  0.9865
Re  0.1632  0.2357  0.0800
Re  0.1632  0.7643  0.0800
Re  0.4819  0.2675  0.8653
Re  0.4819  0.7325  0.8653
Re  0.4885  0.1072  0.0925
Re  0.4885  0.8928  0.0925
Re  0.8439  0.3739  0.9160
Re  0.8439  0.6261  0.9160
Se  0.0407  0.5000  0.7237
Se  0.0636  0.2420  0.7506
Se  0.0636  0.7580  0.7506
Se  0.0957  0.3923  0.2258
Se  0.0957  0.6077  0.2258
Se  0.1897  0.1145  0.3227
Se  0.1897  0.8855  0.3227
Se  0.5702  0.3862  0.6398
Se  0.5702  0.6138  0.6398
Se  0.5789  0.1059  0.7634
Se  0.5789  0.8941  0.7634
Se  0.6971  0.0000  0.3135
Se  0.7363  0.2478  0.1586
Se  0.7363  0.7522  0.1586

Structure and computed X-ray diffraction stick pattern of Pm3Re2Si9 (a cell relaxed with PBE; Cu Kα (weighted mean of Kα1 and Kα2)).

Main lines, sorted by position (10° ≤ 2θ ≤ 90°):
d_spacing, Rel. int.
5.822, 23.0
3.858, 24.1
3.814, 25.2
3.101, 25.3
2.543, 21.9
2.524, 21.5
2.477, 100.0
2.087, 21.6

Cell and atoms:
a = 7.9838 Å, b = 7.9838 Å, c = 7.9838 Å
α = 149.69°, β = 101.55°, γ = 86.36°
Fractional positions:
Pm  0.0000  0.0000  0.0000
Pm  0.3225  0.3225  0.0000
Pm  0.6775  0.6775  0.0000
Re  0.2669  0.5000  0.7669
Re  0.7331  0.5000  0.2331
Si  0.0416  0.6713  0.3704
Si  0.1553  0.8761  0.2792
Si  0.3009  0.6713  0.6296
Si  0.4032  0.1239  0.2792
Si  0.5000  0.0000  0.5000
Si  0.5968  0.8761  0.7208
Si  0.6991  0.3287  0.3704
Si  0.8447  0.1239  0.7208
Si  0.9584  0.3287  0.6296

Structure and computed X-ray diffraction stick pattern of Pm2ReSi4 (a cell relaxed with PBE; Cu Kα (weighted mean of Kα1 and Kα2)).

Main lines, sorted by position (10° ≤ 2θ ≤ 90°):
d_spacing, Rel. int.
4.857, 30.2
3.022, 100.0
2.886, 26.7
2.481, 21.8
2.248, 16.3
2.041, 21.9
1.691, 32.4
1.511, 16.8

Cell and atoms:
a = 5.7718 Å, b = 5.7718 Å, c = 8.9914 Å
α = 90.00°, β = 90.00°, γ = 90.00°
Fractional positions:
Pm  0.0000  0.5000  0.0000
Pm  0.0000  0.5000  0.5000
Pm  0.5000  0.0000  0.0000
Pm  0.5000  0.0000  0.5000
Re  0.0000  0.0000  0.2506
Re  0.5000  0.5000  0.7506
Si  0.2066  0.2066  0.7502
Si  0.2066  0.7934  0.7502
Si  0.2934  0.2934  0.2502
Si  0.2934  0.7066  0.2502
Si  0.7066  0.2934  0.2502
Si  0.7066  0.7066  0.2502
Si  0.7934  0.2066  0.7502
Si  0.7934  0.7934  0.7502

Structure and computed X-ray diffraction stick pattern of PmReSn (a cell relaxed with PBE; Cu Kα (weighted mean of Kα1 and Kα2)).

Main lines, sorted by position (10° ≤ 2θ ≤ 90°):
d_spacing, Rel. int.
2.721, 29.6
2.490, 94.9
2.475, 93.3
2.281, 100.0
1.748, 32.4
1.621, 17.6
1.356, 28.9
1.349, 28.4

Cell and atoms:
a = 3.2098 Å, b = 3.2428 Å, c = 27.2114 Å
α = 90.00°, β = 90.00°, γ = 90.00°
Fractional positions:
Pm  0.0000  0.0000  0.1450
Pm  0.0000  0.0000  0.8550
Pm  0.5000  0.5000  0.3550
Pm  0.5000  0.5000  0.6450
Re  0.0000  0.0000  0.2739
Re  0.0000  0.0000  0.7261
Re  0.5000  0.5000  0.2261
Re  0.5000  0.5000  0.7739
Sn  0.0000  0.0000  0.4471
Sn  0.0000  0.0000  0.5529
Sn  0.5000  0.5000  0.0529
Sn  0.5000  0.5000  0.9471